Diffraction record for La2Ga4Au3. The X-ray powder pattern is simulated, not measured: it uses a crystal structure in Alexandria, relaxed with PBE and Cu Ka.

Cell and atoms:
Lattice parameters (Å, degrees): 8.491 8.491 7.876 90.00 90.00 137.74
Fractional coordinates of all 18 atoms:
La  0.111  0.889  0.911
La  0.389  0.611  0.411
La  0.611  0.389  0.589
La  0.889  0.111  0.089
Ga  0.177  0.823  0.518
Ga  0.192  0.308  0.750
Ga  0.308  0.192  0.250
Ga  0.323  0.677  0.018
Ga  0.677  0.323  0.982
Ga  0.692  0.808  0.750
Ga  0.808  0.692  0.250
Ga  0.823  0.177  0.482
Au  0.000  0.000  0.500
Au  0.024  0.476  0.750
Au  0.476  0.024  0.250
Au  0.500  0.500  0.000
Au  0.524  0.976  0.750
Au  0.976  0.524  0.250

Peak list (8 most intense, 15 to 90 degrees two-theta, in order of rising 2θ)
25.25 deg, I = 38; 31.33 deg, I = 24; 33.38 deg, I = 31; 33.83 deg, I = 59; 35.88 deg, I = 28; 36.04 deg, I = 25; 37.19 deg, I = 100; 41.17 deg, I = 23